This entry pairs a crystal structure of TbCeTe6 with its computed PXRD pattern. Radiation: Cu Kα X-rays. Structure: a crystal structure in Alexandria, relaxed with GGA-PBE.
Peak positions follow from Bragg's law for the DFT cell and can differ from measured ones.

Structural model:
Lattice parameters (Å, degrees): 4.387 13.533 13.533 18.65 90.00 90.00
Fractional coordinates of all 8 atoms:
Tb1 0.000 0.000 0.000
Ce1 0.500 0.657 0.657
Te1 0.000 0.122 0.122
Te2 0.000 0.408 0.408
Te3 0.000 0.749 0.749
Te4 0.500 0.249 0.249
Te5 0.500 0.535 0.535
Te6 0.500 0.908 0.908

Main lines, by angle (10° ≤ 2θ ≤ 80°):
| 2θ/deg | I_rel |
| --- | --- |
| 26.70 | 34 |
| 30.52 | 100 |
| 33.41 | 38 |
| 37.36 | 34 |
| 41.16 | 50 |
| 49.74 | 24 |
| 59.62 | 17 |
| 68.45 | 19 |